The following is a computed powder diffraction line list of NdHoMgZr. It was derived from a structure optimized by DFT (PBE), using Cu Kα (λ = 1.5418 Å).

Most intense lines, 10° ≤ 2θ ≤ 90°, low angle first:
2θ/deg  intensity
20.2  6
23.3  23
33.2  100
41.0  7
47.7  18
53.7  10
59.3  37
69.7  11
74.6  5
79.4  16

Structure:
Unit cell a=5.3952 b=5.3952 c=5.3952 alpha=60.00 beta=60.00 gamma=60.00
Atoms (fractional coordinates):
Nd (0.0000, 0.0000, 0.0000)
Ho (0.5000, 0.5000, 0.5000)
Mg (0.7500, 0.7500, 0.7500)
Zr (0.2500, 0.2500, 0.2500)